The following is a simulated X-ray diffraction stick pattern of CeSmY6. It was derived from the GGA-PBE geometry in Alexandria, using Cu Kα (λ = 1.5418 Å).
Intensities are scaled so that the largest is 100.

Unit cell a=5.0647 b=5.0647 c=10.1020 alpha=90.00 beta=90.00 gamma=90.00
Space group P4/mmm (No. 123)
Symmetry-distinct sites (fractional):
Ce 0.0000 0.0000 0.0000 (multiplicity 1)
Sm 0.0000 0.0000 0.5000 (multiplicity 1)
Y 0.0000 0.5000 0.2475 (multiplicity 4)
Y 0.5000 0.5000 0.0000 (multiplicity 1)
Y 0.5000 0.5000 0.5000 (multiplicity 1)

Most intense lines, 10 to 80 degrees two-theta, in order of falling intensity:
2θ 30.60, 2.921 Å, intensity 100
2θ 35.48, 2.530 Å, intensity 50
2θ 51.05, 1.789 Å, intensity 35
2θ 60.66, 1.527 Å, intensity 27
2θ 60.79, 1.524 Å, intensity 14
2θ 63.71, 1.461 Å, intensity 12
2θ 17.53, 5.060 Å, intensity 4
2θ 24.88, 3.578 Å, intensity 4
2θ 75.01, 1.266 Å, intensity 4
2θ 39.84, 2.263 Å, intensity 2

=====

The following is a simulated X-ray diffraction stick pattern of CeSn4. It was derived from the GGA-PBE geometry in Alexandria, using Cu Kα (λ = 1.5418 Å).
Intensities are scaled so that the largest is 100.

Unit cell a=4.6368 b=6.5268 c=17.9877 alpha=90.00 beta=90.00 gamma=90.00
Space group Imma (No. 74)
Symmetry-distinct sites (fractional):
Ce 0.0000 0.2500 0.0944 (multiplicity 4)
Sn 0.0000 0.0000 0.5000 (multiplicity 4)
Sn 0.0000 0.0144 0.6935 (multiplicity 8)
Sn 0.0000 0.2500 0.9043 (multiplicity 4)

Most intense lines, 10 to 80 degrees two-theta, in order of falling intensity:
2θ 33.96, 2.640 Å, intensity 100
2θ 31.47, 2.842 Å, intensity 98
2θ 40.88, 2.208 Å, intensity 30
2θ 57.65, 1.599 Å, intensity 29
2θ 38.84, 2.318 Å, intensity 29
2θ 67.17, 1.394 Å, intensity 28
2θ 65.73, 1.421 Å, intensity 24
2θ 66.02, 1.415 Å, intensity 23
2θ 52.52, 1.742 Å, intensity 15
2θ 50.76, 1.799 Å, intensity 12

=====

The following is a simulated X-ray diffraction stick pattern of Ce3Sn5. It was derived from the GGA-PBE geometry in Alexandria, using Cu Kα (λ = 1.5418 Å).
Intensities are scaled so that the largest is 100.

Unit cell a=4.5890 b=4.7048 c=10.0659 alpha=90.00 beta=90.00 gamma=90.00
Space group Pmmm (No. 47)
Symmetry-distinct sites (fractional):
Ce 0.0000 0.0000 0.0000 (multiplicity 1)
Ce 0.5000 0.0000 0.2789 (multiplicity 2)
Sn 0.0000 0.0000 0.5000 (multiplicity 1)
Sn 0.0000 0.5000 0.2404 (multiplicity 2)
Sn 0.5000 0.5000 0.0000 (multiplicity 1)
Sn 0.5000 0.5000 0.5000 (multiplicity 1)

Most intense lines, 10 to 80 degrees two-theta, in order of falling intensity:
2θ 32.55, 2.751 Å, intensity 100
2θ 35.68, 2.516 Å, intensity 17
2θ 38.26, 2.352 Å, intensity 17
2θ 39.27, 2.294 Å, intensity 16
2θ 65.59, 1.423 Å, intensity 14
2θ 66.96, 1.397 Å, intensity 13
2θ 53.31, 1.718 Å, intensity 12
2θ 62.13, 1.494 Å, intensity 12
2θ 68.18, 1.375 Å, intensity 12
2θ 55.98, 1.643 Å, intensity 11